For Dy2Ge5Ir3, a DFT-relaxed cell (GGA-PBE, OQMD) gives the computed X-ray diffraction stick pattern in this record (Cu Kα, 1.54184 Å).
Kinematic intensities with the Lorentz-polarization factor, no thermal factor.

Crystal structure
abc: 8.3799 8.3799 8.3799
angles: 104.37 90.51 137.97
Fractional positions:
Dy (0.1342, 0.2266, 0.3608)
Dy (0.3658, 0.7266, 0.0925)
Dy (0.6342, 0.2734, 0.9075)
Dy (0.8658, 0.7734, 0.6392)
Ge (0.0271, 0.7500, 0.2771)
Ge (0.0980, 0.6625, 0.7605)
Ge (0.2500, 0.2500, 0.0000)
Ge (0.4020, 0.1625, 0.5644)
Ge (0.4729, 0.7500, 0.7229)
Ge (0.5271, 0.2500, 0.2771)
Ge (0.5980, 0.8375, 0.4356)
Ge (0.7500, 0.7500, 0.0000)
Ge (0.9020, 0.3375, 0.2395)
Ge (0.9729, 0.2500, 0.7229)
Ir (0.1424, 0.8888, 0.0312)
Ir (0.2500, 0.7500, 0.5000)
Ir (0.3576, 0.3888, 0.7464)
Ir (0.6424, 0.6112, 0.2536)
Ir (0.7500, 0.2500, 0.5000)
Ir (0.8576, 0.1112, 0.9688)

Top 6 peaks for 10 to 90 degrees two-theta, low angle first:
2θ 24.2, I 298; 2θ 31.9, I 247; 2θ 33.7, I 1000; 2θ 34.6, I 646; 2θ 35.1, I 537; 2θ 43.0, I 896


For TaNbTe4Pb2, a DFT-relaxed cell (GGA-PBE, OQMD) gives the computed X-ray diffraction stick pattern in this record (Cu Kα, 1.54184 Å).
Kinematic intensities with the Lorentz-polarization factor, no thermal factor.

Crystal structure
abc: 3.6588 3.6588 20.2974
angles: 90.00 90.00 120.00
Fractional positions:
Ta (0.0000, 0.0000, 0.0000)
Nb (0.3333, 0.6667, 0.5000)
Te (0.6667, 0.3333, 0.0900)
Te (0.6667, 0.3333, 0.4097)
Te (0.6667, 0.3333, 0.5903)
Te (0.6667, 0.3333, 0.9100)
Pb (0.6667, 0.3333, 0.2505)
Pb (0.6667, 0.3333, 0.7495)

Top 6 peaks for 10 to 90 degrees two-theta, low angle first:
2θ 28.2, I 663; 2θ 29.5, I 231; 2θ 38.9, I 1000; 2θ 49.8, I 324; 2θ 65.0, I 223; 2θ 86.1, I 213